1.
Structure and theoretical X-ray powder pattern of NaSr2CuO (DFT lattice parameters and positions (GGA-PBE); Cu Kα).

The 10 most intense peaks (2θ from 15° to 90°), in order of rising 2θ:
2theta	d (Å)	I_rel
18.9	4.701	14
31.3	2.859	100
35.2	2.547	47
38.3	2.350	18
50.7	1.801	16
53.0	1.727	27
60.8	1.524	29
64.9	1.437	12
65.3	1.429	14
86.7	1.123	11

Structure:
abc: 5.0936 5.0936 4.7006
angles: 90.00 90.00 90.00
Space group P4/mmm (No. 123)
Inequivalent atoms, fractional coordinates:
Na1 0.0000 0.0000 0.0000 (multiplicity 1)
Sr1 0.0000 0.5000 0.5000 (multiplicity 2)
Cu1 0.5000 0.5000 0.0000 (multiplicity 1)
O1 0.0000 0.0000 0.5000 (multiplicity 1)

2.
Structure and theoretical X-ray powder pattern of Na2Cu2TcO6 (DFT lattice parameters and positions (GGA-PBE); Cu Kα).

The 10 most intense peaks (2θ from 15° to 90°), in order of rising 2θ:
2theta	d (Å)	I_rel
16.0	5.534	100
25.4	3.501	13
32.4	2.767	15
34.4	2.609	49
38.1	2.360	47
47.9	1.898	69
61.6	1.506	35
64.1	1.454	13
78.2	1.222	13
81.6	1.180	12

Structure:
abc: 5.2190 5.2190 5.5341
angles: 90.00 90.00 120.00
Space group P-31m (No. 162)
Inequivalent atoms, fractional coordinates:
Na1 0.3333 0.6667 0.0000 (multiplicity 2)
Cu1 0.3333 0.6667 0.5000 (multiplicity 2)
Tc1 0.0000 0.0000 0.5000 (multiplicity 1)
O1 0.0000 0.3202 0.3080 (multiplicity 6)

3.
Structure and theoretical X-ray powder pattern of NaTmCuO2 (DFT lattice parameters and positions (GGA-PBE); Cu Kα).

The 10 most intense peaks (2θ from 15° to 90°), in order of rising 2θ:
2theta	d (Å)	I_rel
15.8	5.625	43
21.8	4.080	62
30.2	2.963	65
31.7	2.824	100
34.1	2.630	69
35.3	2.541	72
36.3	2.475	59
42.5	2.129	66
44.4	2.041	43
46.1	1.969	45

Structure:
abc: 6.5303 5.6254 6.5558
angles: 90.00 114.84 90.00
Space group P2/c (No. 13)
Inequivalent atoms, fractional coordinates:
Na1 0.0000 0.1733 0.2500 (multiplicity 2)
Tm1 0.5000 0.4907 0.7500 (multiplicity 2)
Cu1 0.5000 0.0000 0.0000 (multiplicity 2)
O1 0.3604 0.2963 0.4352 (multiplicity 4)

4.
Structure and theoretical X-ray powder pattern of NaCu3P2 (DFT lattice parameters and positions (GGA-PBE); Cu Kα).

The 10 most intense peaks (2θ from 15° to 90°), in order of rising 2θ:
2theta	d (Å)	I_rel
35.8	2.507	17
36.6	2.455	100
38.4	2.344	19
41.7	2.167	73
46.5	1.953	29
47.1	1.931	39
48.8	1.865	29
50.6	1.804	22
50.8	1.797	11
71.6	1.318	14

Structure:
abc: 14.5483 3.8618 7.0443
angles: 90.00 112.19 90.00
Space group C2/m (No. 12)
Inequivalent atoms, fractional coordinates:
Na1 0.1605 0.0000 0.0677 (multiplicity 4)
Cu1 0.0436 0.0000 0.3621 (multiplicity 4)
Cu2 0.0943 0.5000 0.6825 (multiplicity 4)
Cu3 0.1838 0.5000 0.4358 (multiplicity 4)
P1 0.0221 0.5000 0.1674 (multiplicity 4)
P2 0.1835 0.0000 0.6710 (multiplicity 4)